Entry 1:
Computed powder X-ray diffraction pattern
Compound: SmPO4
Radiation: copper Kα
Structure: a structure optimized by DFT (PBE)
Intensities are scaled so that the largest is 100.

Largest 10 diffraction maxima, in order of rising 2θ, 10 to 90 degrees two-theta:
(1 0 1), d = 4.658 Å, I 51
(2 0 0), d = 3.550 Å, I 100
(2 1 1), d = 2.824 Å, I 23
(1 1 2), d = 2.629 Å, I 65
(2 2 0), d = 2.510 Å, I 21
(3 0 1), d = 2.210 Å, I 21
(3 2 1), d = 1.876 Å, I 21
(3 1 2), d = 1.816 Å, I 53
(4 0 0), d = 1.775 Å, I 14
(3 3 2), d = 1.471 Å, I 15

Cell and atoms:
Cell: 7.100 7.100 6.173 Å, 90.00 90.00 90.00°
Space group I4_1/amd (No. 141, origin choice 2)
Unique sites:
Sm 0.000 0.250 0.375 (multiplicity 4)
P 0.000 0.250 0.875 (multiplicity 4)
O 0.000 0.078 0.719 (multiplicity 16)


Entry 2:
Computed powder X-ray diffraction pattern
Compound: LiSmCl
Radiation: copper Kα
Structure: a structure optimized by DFT (PBE)
Intensities are scaled so that the largest is 100.

Largest 10 diffraction maxima, in order of rising 2θ, 10 to 90 degrees two-theta:
(0 0 2), d = 6.395 Å, I 100
(1 1 0), d = 3.369 Å, I 62
(1 1 2), d = 2.878 Å, I 76
(1 1 -3), d = 2.764 Å, I 34
(1 1 4), d = 2.224 Å, I 22
(2 0 4), d = 2.129 Å, I 31
(0 2 0), d = 1.953 Å, I 25
(3 1 1), d = 1.868 Å, I 25
(2 2 -3), d = 1.616 Å, I 13
(3 1 -8), d = 1.334 Å, I 12

Cell and atoms:
Cell: 6.765 3.905 12.991 Å, 90.00 100.07 90.00°
Space group C2/m (No. 12)
Unique sites:
Li 0.154 0.000 0.462 (multiplicity 4)
Sm 0.074 0.500 0.720 (multiplicity 4)
Cl 0.214 0.500 0.145 (multiplicity 4)


Entry 3:
Computed powder X-ray diffraction pattern
Compound: BaAg2
Radiation: copper Kα
Structure: a structure optimized by DFT (PBE)
Intensities are scaled so that the largest is 100.

Largest 10 diffraction maxima, in order of rising 2θ, 10 to 90 degrees two-theta:
(1 0 1), d = 3.064 Å, I 100
(1 1 0), d = 2.456 Å, I 58
(0 0 2), d = 2.209 Å, I 14
(2 0 1), d = 1.916 Å, I 25
(1 1 2), d = 1.642 Å, I 32
(2 1 1), d = 1.511 Å, I 23
(3 0 0), d = 1.418 Å, I 10
(1 0 3), d = 1.392 Å, I 9
(3 0 2), d = 1.193 Å, I 11
(3 1 1), d = 1.140 Å, I 9

Cell and atoms:
Cell: 4.9116 4.9116 4.4180 Å, 90.00 90.00 120.00°
Space group P6/mmm (No. 191)
Unique sites:
Ba 0.0000 0.0000 0.0000 (multiplicity 1)
Ag 0.3333 0.6667 0.5000 (multiplicity 2)